Starting from the PBE geometry in Alexandria, the powder diffraction line list of Dy4Ga12Os was calculated for CuKα.
Intensities are scaled so that the largest is 100.

Structure:
Cell lengths 8.6177, 8.6177, 8.6177 Å; angles 90.00, 90.00, 90.00 degrees
Space group Im-3m (No. 229)
Inequivalent atoms, fractional coordinates:
Dy: 0.2500 0.2500 0.2500 [8 per cell]
Ga: 0.0000 0.0000 0.2917 [12 per cell]
Ga: 0.0000 0.2500 0.5000 [12 per cell]
Os: 0.0000 0.0000 0.0000 [2 per cell]

Principal peaks in the range 2θ = 5–70°, most intense first:
two_theta, d_spacing, Rel. int.
36.11, 2.488, 100.0
41.93, 2.154, 80.9
29.31, 3.047, 51.7
60.80, 1.523, 48.6
39.11, 2.303, 21.8
51.98, 1.759, 16.6
32.87, 2.725, 15.0
68.91, 1.363, 13.9
49.62, 1.837, 12.7
14.54, 6.094, 9.7



Starting from the PBE geometry in Alexandria, the powder diffraction line list of Cs2Cd3AgBi4 was calculated for CuKα.
Intensities are scaled so that the largest is 100.

Structure:
Cell lengths 5.2284, 5.2284, 12.5713 Å; angles 90.00, 90.00, 90.00 degrees
Space group P-4m2 (No. 115)
Inequivalent atoms, fractional coordinates:
Cs: 0.0000 0.5000 0.2412 [2 per cell]
Cd: 0.0000 0.0000 0.0000 [1 per cell]
Cd: 0.0000 0.5000 0.6390 [2 per cell]
Ag: 0.5000 0.5000 0.0000 [1 per cell]
Bi: 0.0000 0.0000 0.5000 [1 per cell]
Bi: 0.0000 0.5000 0.8766 [2 per cell]
Bi: 0.5000 0.5000 0.5000 [1 per cell]

Principal peaks in the range 2θ = 5–70°, most intense first:
two_theta, d_spacing, Rel. int.
28.00, 3.187, 100.0
34.30, 2.614, 81.0
27.27, 3.270, 55.6
37.56, 2.395, 55.3
44.37, 2.042, 29.9
49.30, 1.849, 29.1
57.65, 1.599, 26.3
39.78, 2.266, 24.9
63.59, 1.463, 23.8
53.52, 1.712, 20.9



Starting from the PBE geometry in Alexandria, the powder diffraction line list of K6GaCl8 was calculated for CuKα.
Intensities are scaled so that the largest is 100.

Structure:
Cell lengths 8.8263, 8.8263, 7.3884 Å; angles 90.00, 90.00, 120.00 degrees
Space group P-31m (No. 162)
Inequivalent atoms, fractional coordinates:
K: 0.0000 0.3851 0.2244 [6 per cell]
Ga: 0.0000 0.0000 0.5000 [1 per cell]
Cl: 0.0000 0.2603 0.6871 [6 per cell]
Cl: 0.3333 0.6667 0.0000 [2 per cell]

Principal peaks in the range 2θ = 5–70°, most intense first:
two_theta, d_spacing, Rel. int.
31.58, 2.833, 100.0
16.69, 5.312, 81.1
33.30, 2.691, 75.0
35.22, 2.548, 51.2
44.46, 2.038, 27.5
53.77, 1.705, 19.5
48.58, 1.874, 19.1
24.09, 3.694, 16.7
48.03, 1.894, 15.2
11.58, 7.644, 15.0



Starting from the PBE geometry in Alexandria, the powder diffraction line list of Cu2GeAu2 was calculated for CuKα.
Intensities are scaled so that the largest is 100.

Structure:
Cell lengths 4.4865, 14.0935, 5.0307 Å; angles 90.00, 90.00, 90.00 degrees
Space group Cmc2_1 (No. 36)
Inequivalent atoms, fractional coordinates:
Cu: 0.0000 0.0563 0.0000 [4 per cell]
Cu: 0.0000 0.2591 0.1190 [4 per cell]
Ge: 0.0000 0.1435 0.5046 [4 per cell]
Au: 0.0000 0.3401 0.6308 [4 per cell]
Au: 0.0000 0.4528 0.1534 [4 per cell]

Principal peaks in the range 2θ = 5–70°, most intense first:
two_theta, d_spacing, Rel. int.
41.89, 2.156, 100.0
41.66, 2.168, 38.3
40.20, 2.243, 34.1
20.78, 4.275, 33.0
35.70, 2.515, 27.0
30.99, 2.886, 26.3
54.84, 1.674, 15.8
51.60, 1.771, 13.1
61.22, 1.514, 9.4
68.37, 1.372, 9.0



Starting from the PBE geometry in Alexandria, the powder diffraction line list of PrSmSb2O8 was calculated for CuKα.
Intensities are scaled so that the largest is 100.

Structure:
Cell lengths 5.3838, 5.3838, 11.5649 Å; angles 90.00, 90.00, 90.00 degrees
Space group I-4 (No. 82)
Inequivalent atoms, fractional coordinates:
Pr: 0.0000 0.0000 0.0000 [2 per cell]
Sm: 0.0000 0.5000 0.7500 [2 per cell]
Sb: 0.0000 0.0000 0.5000 [2 per cell]
Sb: 0.0000 0.5000 0.2500 [2 per cell]
O: 0.1695 0.2507 0.5882 [8 per cell]
O: 0.1761 0.7496 0.1641 [8 per cell]

Principal peaks in the range 2θ = 5–70°, most intense first:
two_theta, d_spacing, Rel. int.
28.06, 3.180, 100.0
46.07, 1.970, 31.2
56.33, 1.633, 28.2
33.28, 2.692, 20.5
53.27, 1.720, 16.7
47.78, 1.903, 14.6
30.93, 2.891, 14.0
58.01, 1.590, 11.2
69.89, 1.346, 4.1
64.46, 1.446, 2.0



Starting from the PBE geometry in Alexandria, the powder diffraction line list of Pu2ZnNi was calculated for CuKα.
Intensities are scaled so that the largest is 100.

Structure:
Cell lengths 5.2111, 5.2111, 2.9837 Å; angles 90.00, 90.00, 90.00 degrees
Space group P4/mmm (No. 123)
Inequivalent atoms, fractional coordinates:
Pu: 0.0000 0.5000 0.0000 [2 per cell]
Zn: 0.0000 0.0000 0.5000 [1 per cell]
Ni: 0.5000 0.5000 0.5000 [1 per cell]

Principal peaks in the range 2θ = 5–70°, most intense first:
two_theta, d_spacing, Rel. int.
38.84, 2.319, 100.0
34.42, 2.606, 69.2
24.15, 3.685, 49.3
64.61, 1.443, 45.3
49.47, 1.842, 25.2
46.26, 1.963, 18.9
29.95, 2.984, 14.6
55.79, 1.648, 11.2
58.91, 1.568, 9.6
67.77, 1.383, 6.5